1.
The following is a calculated powder XRD pattern of LiTlSbPb. It was derived from a DFT-relaxed cell (GGA-PBE, Alexandria), using Cu Ka.
Kinematic intensities with the Lorentz-polarization factor, no thermal factor.

Most intense lines, 10° ≤ 2θ ≤ 80°, low angle first:
22.33°, I = 26; 22.44°, I = 55; 29.26°, I = 31; 29.38°, I = 59; 32.85°, I = 100; 38.30°, I = 50; 38.49°, I = 25; 51.47°, I = 19; 60.11°, I = 24; 65.82°, I = 18

Structure:
Unit cell a=4.7002 b=4.7002 c=6.7067 alpha=110.67 beta=110.67 gamma=59.69
Element x y z (fractional)
1 Li 0.0000 0.0000 0.0000
2 Tl 0.4230 0.4230 0.2708
3 Sb 0.6360 0.6360 0.9073
4 Pb 0.2092 0.2092 0.6220



2.
The following is a calculated powder XRD pattern of KPmAg2Cl8. It was derived from a DFT-relaxed cell (GGA-PBE, Alexandria), using Cu Ka.
Kinematic intensities with the Lorentz-polarization factor, no thermal factor.

Most intense lines, 10° ≤ 2θ ≤ 80°, low angle first:
14.36°, I = 15; 22.19°, I = 100; 24.85°, I = 13; 29.89°, I = 15; 31.07°, I = 15; 36.33°, I = 38; 37.21°, I = 22; 42.20°, I = 25; 43.75°, I = 47; 45.27°, I = 15

Structure:
Unit cell a=8.6436 b=8.6436 c=8.6436 alpha=133.43 beta=133.43 gamma=67.98
Element x y z (fractional)
1 K 0.0000 0.0000 0.0000
2 Pm 0.2500 0.7500 0.5000
3 Ag 0.5000 0.5000 0.0000
4 Ag 0.7500 0.2500 0.5000
5 Cl 0.2730 0.7052 0.1526
6 Cl 0.2948 0.4474 0.5678
7 Cl 0.3979 0.0155 0.0380
8 Cl 0.5526 0.1204 0.8474
9 Cl 0.6400 0.6021 0.6176
10 Cl 0.8796 0.7270 0.4322
11 Cl 0.9775 0.3600 0.9620
12 Cl 0.9845 0.0225 0.3824



3.
The following is a calculated powder XRD pattern of SiNi. It was derived from a DFT-relaxed cell (GGA-PBE, Alexandria), using Cu Ka.
Kinematic intensities with the Lorentz-polarization factor, no thermal factor.

Most intense lines, 10° ≤ 2θ ≤ 80°, low angle first:
31.55°, I = 68; 34.10°, I = 22; 35.97°, I = 26; 45.69°, I = 54; 47.14°, I = 100; 51.29°, I = 23; 54.81°, I = 12; 56.13°, I = 13; 56.25°, I = 20; 79.57°, I = 11

Structure:
Unit cell a=5.2584 b=3.2710 c=5.6798 alpha=90.00 beta=90.00 gamma=90.00
Element x y z (fractional)
1 Si 0.1801 0.2500 0.0782
2 Si 0.3199 0.7500 0.5782
3 Si 0.6801 0.2500 0.4218
4 Si 0.8199 0.7500 0.9218
5 Ni 0.0073 0.2500 0.6882
6 Ni 0.4927 0.7500 0.1882
7 Ni 0.5073 0.2500 0.8118
8 Ni 0.9927 0.7500 0.3118



4.
The following is a calculated powder XRD pattern of Pm4Dy4In. It was derived from a DFT-relaxed cell (GGA-PBE, Alexandria), using Cu Ka.
Kinematic intensities with the Lorentz-polarization factor, no thermal factor.

Most intense lines, 10° ≤ 2θ ≤ 80°, low angle first:
30.87°, I = 100; 35.55°, I = 34; 36.27°, I = 16; 51.16°, I = 12; 51.69°, I = 23; 60.95°, I = 28; 61.91°, I = 14; 64.31°, I = 12; 75.26°, I = 4; 77.00°, I = 2

Structure:
Unit cell a=7.9704 b=7.9704 c=7.9704 alpha=95.54 beta=95.54 gamma=143.79
Element x y z (fractional)
1 Pm 0.0000 0.3329 0.3329
2 Pm 0.0000 0.6671 0.6671
3 Pm 0.3329 0.0000 0.3329
4 Pm 0.6671 0.0000 0.6671
5 Dy 0.3393 0.3393 0.6787
6 Dy 0.3393 0.6607 0.0000
7 Dy 0.6607 0.3393 0.0000
8 Dy 0.6607 0.6607 0.3213
9 In 0.0000 0.0000 0.0000



5.
The following is a calculated powder XRD pattern of Pr3Ho4Sc. It was derived from a DFT-relaxed cell (GGA-PBE, Alexandria), using Cu Ka.
Kinematic intensities with the Lorentz-polarization factor, no thermal factor.

Most intense lines, 10° ≤ 2θ ≤ 80°, low angle first:
30.11°, I = 37; 30.65°, I = 100; 31.85°, I = 89; 33.11°, I = 22; 36.61°, I = 24; 37.33°, I = 22; 45.75°, I = 17; 55.28°, I = 20; 61.91°, I = 14; 62.60°, I = 26

Structure:
Unit cell a=8.8409 b=8.8409 c=8.8409 alpha=157.20 beta=97.49 gamma=87.01
Element x y z (fractional)
1 Pr 0.0000 0.0000 0.0000
2 Pr 0.2603 0.7603 0.5000
3 Pr 0.7397 0.2397 0.5000
4 Ho 0.1243 0.3665 0.7578
5 Ho 0.3913 0.6335 0.7578
6 Ho 0.6087 0.3665 0.2422
7 Ho 0.8757 0.6335 0.2422
8 Sc 0.5000 0.5000 0.0000



6.
The following is a calculated powder XRD pattern of Al2O3. It was derived from a DFT-relaxed cell (GGA-PBE, Alexandria), using Cu Ka.
Kinematic intensities with the Lorentz-polarization factor, no thermal factor.

Most intense lines, 10° ≤ 2θ ≤ 80°, low angle first:
18.28°, I = 86; 20.99°, I = 100; 26.39°, I = 29; 30.98°, I = 30; 33.62°, I = 17; 35.29°, I = 61; 39.42°, I = 15; 41.89°, I = 13; 68.04°, I = 20; 68.77°, I = 15

Structure:
Unit cell a=4.7042 b=9.7067 c=3.0237 alpha=90.00 beta=90.00 gamma=90.00
Element x y z (fractional)
1 Al 0.0706 0.1702 0.0000
2 Al 0.4294 0.6702 0.5000
3 Al 0.5706 0.3298 0.5000
4 Al 0.9294 0.8298 0.0000
5 O 0.0000 0.0000 0.0000
6 O 0.2485 0.2264 0.5000
7 O 0.2515 0.7264 0.0000
8 O 0.5000 0.5000 0.5000
9 O 0.7485 0.2736 0.0000
10 O 0.7515 0.7736 0.5000



7.
The following is a calculated powder XRD pattern of Th3Mg4Au4. It was derived from a DFT-relaxed cell (GGA-PBE, Alexandria), using Cu Ka.
Kinematic intensities with the Lorentz-polarization factor, no thermal factor.

Most intense lines, 10° ≤ 2θ ≤ 80°, low angle first:
22.68°, I = 22; 31.14°, I = 100; 32.21°, I = 31; 33.57°, I = 97; 41.01°, I = 29; 46.28°, I = 35; 53.08°, I = 16; 63.53°, I = 28; 64.83°, I = 23; 68.33°, I = 21

Structure:
Unit cell a=8.6849 b=8.6849 c=8.6849 alpha=150.64 beta=126.33 gamma=62.36
Element x y z (fractional)
1 Th 0.0000 0.0000 0.0000
2 Th 0.3899 0.8899 0.5000
3 Th 0.6101 0.1101 0.5000
4 Mg 0.0141 0.3228 0.6913
5 Mg 0.3685 0.6772 0.6913
6 Mg 0.6315 0.3228 0.3087
7 Mg 0.9859 0.6772 0.3087
8 Au 0.2280 0.2280 0.0000
9 Au 0.2907 0.5000 0.7907
10 Au 0.7093 0.5000 0.2093
11 Au 0.7720 0.7720 0.0000



8.
The following is a calculated powder XRD pattern of Tb2Nd6Sc3. It was derived from a DFT-relaxed cell (GGA-PBE, Alexandria), using Cu Ka.
Kinematic intensities with the Lorentz-polarization factor, no thermal factor.

Most intense lines, 10° ≤ 2θ ≤ 80°, low angle first:
16.19°, I = 16; 25.03°, I = 23; 29.80°, I = 34; 31.53°, I = 100; 31.99°, I = 68; 33.00°, I = 37; 33.22°, I = 69; 34.71°, I = 16; 46.00°, I = 17; 58.05°, I = 18

Structure:
Unit cell a=6.0219 b=8.3440 c=8.3935 alpha=105.28 beta=108.28 gamma=108.00
Element x y z (fractional)
1 Tb 0.0408 0.3198 0.3576
2 Tb 0.9592 0.6802 0.6424
3 Nd 0.0741 0.1431 0.7086
4 Nd 0.3507 0.9502 0.1247
5 Nd 0.4900 0.5926 0.8250
6 Nd 0.5100 0.4074 0.1750
7 Nd 0.6493 0.0498 0.8753
8 Nd 0.9259 0.8569 0.2914
9 Sc 0.0000 0.5000 0.0000
10 Sc 0.4353 0.7625 0.4428
11 Sc 0.5647 0.2375 0.5572



9.
The following is a calculated powder XRD pattern of Ac2HoPd6Pb3. It was derived from a DFT-relaxed cell (GGA-PBE, Alexandria), using Cu Ka.
Kinematic intensities with the Lorentz-polarization factor, no thermal factor.

Most intense lines, 10° ≤ 2θ ≤ 80°, low angle first:
23.54°, I = 44; 25.81°, I = 99; 30.69°, I = 61; 31.06°, I = 62; 38.98°, I = 86; 39.81°, I = 34; 42.17°, I = 34; 43.97°, I = 100; 51.67°, I = 32; 63.93°, I = 40

Structure:
Unit cell a=4.1199 b=4.1199 c=18.9752 alpha=90.00 beta=90.00 gamma=90.00
Element x y z (fractional)
1 Ac 0.0000 0.0000 0.1159
2 Ac 0.0000 0.0000 0.8841
3 Ho 0.0000 0.0000 0.5000
4 Pd 0.0000 0.5000 0.3958
5 Pd 0.0000 0.5000 0.6042
6 Pd 0.5000 0.0000 0.3958
7 Pd 0.5000 0.0000 0.6042
8 Pd 0.5000 0.5000 0.1552
9 Pd 0.5000 0.5000 0.8448
10 Pb 0.5000 0.5000 0.0000
11 Pb 0.5000 0.5000 0.2974
12 Pb 0.5000 0.5000 0.7026



10.
The following is a calculated powder XRD pattern of SbSeBr3. It was derived from a DFT-relaxed cell (GGA-PBE, Alexandria), using Cu Ka.
Kinematic intensities with the Lorentz-polarization factor, no thermal factor.

Most intense lines, 10° ≤ 2θ ≤ 80°, low angle first:
11.05°, I = 100; 11.33°, I = 42; 12.66°, I = 32; 16.30°, I = 32; 19.05°, I = 30; 25.34°, I = 19; 25.47°, I = 49; 25.88°, I = 33; 26.87°, I = 49; 33.31°, I = 18

Structure:
Unit cell a=8.0247 b=7.8091 c=15.7635 alpha=90.00 beta=93.73 gamma=90.00
Element x y z (fractional)
1 Sb 0.0965 0.1072 0.1214
2 Sb 0.0965 0.8928 0.6214
3 Sb 0.9035 0.1072 0.3786
4 Sb 0.9035 0.8928 0.8786
5 Se 0.0380 0.4671 0.3186
6 Se 0.0380 0.5329 0.8186
7 Se 0.9620 0.4671 0.1814
8 Se 0.9620 0.5329 0.6814
9 Br 0.1428 0.1953 0.5484
10 Br 0.1428 0.8047 0.0484
11 Br 0.2484 0.0211 0.2660
12 Br 0.2484 0.9789 0.7660
13 Br 0.3438 0.2556 0.0593
14 Br 0.3438 0.7444 0.5593
15 Br 0.6562 0.2556 0.4407
16 Br 0.6562 0.7444 0.9407
17 Br 0.7516 0.0211 0.2340
18 Br 0.7516 0.9789 0.7340
19 Br 0.8572 0.1953 0.9516
20 Br 0.8572 0.8047 0.4516



11.
The following is a calculated powder XRD pattern of SnTe2As2. It was derived from a DFT-relaxed cell (GGA-PBE, Alexandria), using Cu Ka.
Kinematic intensities with the Lorentz-polarization factor, no thermal factor.

Most intense lines, 10° ≤ 2θ ≤ 80°, low angle first:
24.01°, I = 16; 29.15°, I = 22; 31.77°, I = 13; 32.68°, I = 61; 33.45°, I = 100; 40.96°, I = 27; 49.15°, I = 14; 49.88°, I = 30; 60.28°, I = 21; 62.97°, I = 14

Structure:
Unit cell a=8.6648 b=8.6648 c=3.7071 alpha=90.00 beta=90.00 gamma=90.00
Element x y z (fractional)
1 Sn 0.0000 0.0000 0.0000
2 Sn 0.5000 0.5000 0.0000
3 Te 0.1547 0.3453 0.0000
4 Te 0.3453 0.8453 0.0000
5 Te 0.6547 0.1547 0.0000
6 Te 0.8453 0.6547 0.0000
7 As 0.1864 0.6864 0.5000
8 As 0.3136 0.1864 0.5000
9 As 0.6864 0.8136 0.5000
10 As 0.8136 0.3136 0.5000



12.
The following is a calculated powder XRD pattern of RbNaSiAs2. It was derived from a DFT-relaxed cell (GGA-PBE, Alexandria), using Cu Ka.
Kinematic intensities with the Lorentz-polarization factor, no thermal factor.

Most intense lines, 10° ≤ 2θ ≤ 80°, low angle first:
23.89°, I = 97; 24.21°, I = 56; 24.83°, I = 85; 27.10°, I = 37; 29.70°, I = 100; 33.71°, I = 64; 37.56°, I = 54; 43.78°, I = 60; 44.81°, I = 41; 57.25°, I = 34

Structure:
Unit cell a=7.7920 b=7.7920 c=9.9707 alpha=97.81 beta=97.81 gamma=30.09
Element x y z (fractional)
1 Rb 0.1289 0.1289 0.1518
2 Rb 0.8711 0.8711 0.8482
3 Na 0.2036 0.2036 0.5916
4 Na 0.7964 0.7964 0.4084
5 Si 0.4490 0.4490 0.3437
6 Si 0.5510 0.5510 0.6563
7 As 0.0965 0.0965 0.7976
8 As 0.3961 0.3961 0.5632
9 As 0.6039 0.6039 0.4368
10 As 0.9035 0.9035 0.2024